No. 1
This entry pairs a crystal structure of Tb3BCl3 with its simulated powder diffraction line list. Radiation: Cu Kα, 1.54184 Å. Structure: DFT lattice parameters and positions (PBE).
Lines closer than 0.1° are merged.

Cell and atoms:
a b c (Å): 9.5046 9.5046 9.5046
angles (deg): 109.47 109.47 109.47
Positions (direct):
Tb: 0.0151 0.0301 0.2651
Tb: 0.0151 0.4849 0.7500
Tb: 0.0301 0.2651 0.0151
Tb: 0.2349 0.2651 0.7500
Tb: 0.2349 0.4699 0.4849
Tb: 0.2651 0.0151 0.0301
Tb: 0.2651 0.7500 0.2349
Tb: 0.4699 0.4849 0.2349
Tb: 0.4849 0.2349 0.4699
Tb: 0.4849 0.7500 0.0151
Tb: 0.7500 0.0151 0.4849
Tb: 0.7500 0.2349 0.2651
B: 0.0000 0.2500 0.5000
B: 0.2500 0.2500 0.2500
B: 0.2500 0.5000 0.0000
B: 0.5000 0.0000 0.2500
Cl: 0.2500 0.7554 0.7446
Cl: 0.2500 0.9946 0.5054
Cl: 0.5054 0.2500 0.9946
Cl: 0.5054 0.7554 0.5108
Cl: 0.5108 0.5054 0.7554
Cl: 0.7446 0.2500 0.7554
Cl: 0.7446 0.9946 0.9892
Cl: 0.7554 0.5108 0.5054
Cl: 0.7554 0.7446 0.2500
Cl: 0.9892 0.7446 0.9946
Cl: 0.9946 0.5054 0.2500
Cl: 0.9946 0.9892 0.7446

Principal peaks in the range 2θ = 10–90°, sorted by position:
- 2θ 11.40, rel. 60
- 2θ 28.17, rel. 69
- 2θ 30.48, rel. 46
- 2θ 32.64, rel. 100
- 2θ 38.47, rel. 25
- 2θ 46.83, rel. 65
- 2θ 55.54, rel. 27
- 2θ 58.24, rel. 21
- 2θ 62.15, rel. 18
- 2θ 67.16, rel. 15
- 2θ 77.85, rel. 22
- 2θ 86.98, rel. 16

---

No. 2
This entry pairs a crystal structure of Th3W with its simulated powder diffraction line list. Radiation: Cu Kα, 1.54184 Å. Structure: DFT lattice parameters and positions (PBE).
Lines closer than 0.1° are merged.

Cell and atoms:
a b c (Å): 6.0301 6.0301 6.0301
angles (deg): 134.97 134.97 65.58
Positions (direct):
Th: 0.0000 0.0000 0.0000
Th: 0.2500 0.7500 0.5000
Th: 0.7500 0.2500 0.5000
W: 0.5000 0.5000 0.0000

Principal peaks in the range 2θ = 10–90°, sorted by position:
- 2θ 32.62, rel. 100
- 2θ 35.41, rel. 20
- 2θ 39.00, rel. 31
- 2θ 53.70, rel. 25
- 2θ 56.34, rel. 11
- 2θ 61.82, rel. 17
- 2θ 66.64, rel. 27
- 2θ 68.33, rel. 12
- 2θ 74.94, rel. 2
- 2θ 83.78, rel. 4
- 2θ 87.88, rel. 7
- 2θ 88.48, rel. 13